The following is a calculated powder diffraction line list of SrPrTl4. It was derived from a DFT-relaxed cell (PBE, Alexandria), using CuKα.

Structure:
```
SrPrTl4
1.0
4.443 -2.578 0.000
4.443 2.578 0.000
-0.041 0.000 8.348
Sr Pr Tl
1 1 4
Direct
0.000 0.000 0.000
0.000 0.000 0.500
0.333 0.333 0.329
0.334 0.334 0.787
0.666 0.666 0.213
0.667 0.667 0.671
```

Top 10 peaks for 15° ≤ 2θ ≤ 90°, in order of rising 2θ:
- d 4.174, 2θ 21.3, intensity 9
- d 3.046, 2θ 29.3, intensity 100
- d 2.578, 2θ 34.8, intensity 24
- d 2.568, 2θ 34.9, intensity 48
- d 1.969, 2θ 46.1, intensity 20
- d 1.957, 2θ 46.4, intensity 10
- d 1.892, 2θ 48.1, intensity 13
- d 1.564, 2θ 59.0, intensity 13
- d 1.561, 2θ 59.2, intensity 10
- d 1.559, 2θ 59.3, intensity 11

The following is a calculated powder diffraction line list of Sc5Ag3. It was derived from a DFT-relaxed cell (PBE, Alexandria), using CuKα.

Structure:
```
Sc5Ag3
1.0
3.382 0.000 0.000
0.000 3.382 0.000
0.000 0.000 15.039
Sc Ag
5 3
Direct
0.000 0.000 0.000
0.000 0.000 0.234
0.000 0.000 0.766
0.500 0.500 0.382
0.500 0.500 0.618
0.000 0.000 0.500
0.500 0.500 0.117
0.500 0.500 0.883
```

Top 10 peaks for 15° ≤ 2θ ≤ 90°, in order of rising 2θ:
- d 5.013, 2θ 17.7, intensity 14
- d 3.299, 2θ 27.0, intensity 17
- d 2.514, 2θ 35.7, intensity 100
- d 2.391, 2θ 37.6, intensity 45
- d 2.158, 2θ 41.9, intensity 6
- d 1.880, 2θ 48.4, intensity 9
- d 1.691, 2θ 54.2, intensity 15
- d 1.478, 2θ 62.9, intensity 15
- d 1.403, 2θ 66.7, intensity 29
- d 1.257, 2θ 75.6, intensity 8

The following is a calculated powder diffraction line list of Y5Tl. It was derived from a DFT-relaxed cell (PBE, Alexandria), using CuKα.

Structure:
```
Y5Tl
1.0
0.000 4.579 4.579
4.579 0.000 4.579
4.579 4.579 0.000
Y Tl
5 1
Direct
0.000 0.000 0.000
0.123 0.626 0.626
0.626 0.123 0.626
0.626 0.626 0.123
0.626 0.626 0.626
0.250 0.250 0.250
```

Top 10 peaks for 15° ≤ 2θ ≤ 90°, in order of rising 2θ:
- d 3.238, 2θ 27.5, intensity 41
- d 2.761, 2θ 32.4, intensity 100
- d 2.644, 2θ 33.9, intensity 27
- d 1.869, 2θ 48.7, intensity 17
- d 1.762, 2θ 51.9, intensity 35
- d 1.619, 2θ 56.9, intensity 27
- d 1.397, 2θ 67.0, intensity 12
- d 1.381, 2θ 67.9, intensity 10
- d 1.224, 2θ 78.1, intensity 9
- d 1.192, 2θ 80.6, intensity 21